This entry pairs a crystal structure of AsOsPtO with its simulated powder X-ray diffraction pattern. Radiation: Cu Kα (λ = 1.5418 Å). Structure: the PBE geometry in OQMD.
Neutral-atom scattering factors, no anomalous dispersion.

Atomic structure:
```
data_AsOsPtO
_space_group_name_H-M_alt 'P m c 21'
_space_group_IT_number 26
_space_group_name_Hall 'P 2c -2'
_cell_length_a 3.761
_cell_length_b 6.228
_cell_length_c 5.327
_cell_angle_alpha 90.00
_cell_angle_beta 90.00
_cell_angle_gamma 90.00
loop_
_atom_site_label
_atom_site_fract_x
_atom_site_fract_y
_atom_site_fract_z
_atom_site_occupancy
As1 0.000 0.232 0.000 1
Os1 0.000 0.370 0.546 1
Pt1 0.500 0.004 0.527 1
O1 0.500 0.377 0.539 1
```

Most intense lines, 15 to 90 degrees two-theta, by angle:
2theta  Rel. int.
27.71  100
33.33  31
33.65  74
37.50  40
41.28  30
44.13  58
48.41  28
51.26  32


This entry pairs a crystal structure of AsPdPbO with its simulated powder X-ray diffraction pattern. Radiation: Cu Kα (λ = 1.5418 Å). Structure: the PBE geometry in OQMD.
Neutral-atom scattering factors, no anomalous dispersion.

Atomic structure:
```
data_AsPdPbO
_space_group_name_H-M_alt 'P 4/n m m'
_space_group_IT_number 129
_cell_length_a 4.097
_cell_length_b 4.097
_cell_length_c 9.775
_cell_angle_alpha 90.00
_cell_angle_beta 90.00
_cell_angle_gamma 90.00
loop_
_space_group_symop_operation_xyz
'x,y,z'
'-x,-y,-z'
'-y+1/2,x,z'
'y+1/2,-x,-z'
'-x+1/2,-y+1/2,z'
'x+1/2,y+1/2,-z'
'y,-x+1/2,z'
'-y,x+1/2,-z'
'x+1/2,-y,-z'
'-x+1/2,y,z'
'-y,-x,-z'
'y,x,z'
'-x,y+1/2,-z'
'x,-y+1/2,z'
'y+1/2,x+1/2,-z'
'-y+1/2,-x+1/2,z'
loop_
_atom_site_label
_atom_site_fract_x
_atom_site_fract_y
_atom_site_fract_z
_atom_site_occupancy
As1 0.250 0.250 0.144 1
Pd1 0.250 0.750 0.000 1
Pb1 0.250 0.250 0.620 1
O1 0.250 0.750 0.500 1
```

Most intense lines, 15 to 90 degrees two-theta, by angle:
2theta  Rel. int.
18.15  14
28.43  100
30.86  13
32.23  34
44.21  32
48.75  46
53.40  35
84.67  19


This entry pairs a crystal structure of Sr2Zn2As2PbO2 with its simulated powder X-ray diffraction pattern. Radiation: Cu Kα (λ = 1.5418 Å). Structure: the PBE geometry in OQMD.
Neutral-atom scattering factors, no anomalous dispersion.

Atomic structure:
```
data_Sr2Zn2As2PbO2
_space_group_name_H-M_alt 'I 4/m m m'
_space_group_IT_number 139
_space_group_name_Hall '-I 4 2'
_cell_length_a 4.543
_cell_length_b 4.543
_cell_length_c 17.789
_cell_angle_alpha 90.00
_cell_angle_beta 90.00
_cell_angle_gamma 90.00
loop_
_atom_site_label
_atom_site_fract_x
_atom_site_fract_y
_atom_site_fract_z
_atom_site_occupancy
Sr1 0.000 0.000 0.095 1
Zn1 0.000 0.500 0.250 1
As1 0.000 0.000 0.323 1
Pb1 0.000 0.000 0.500 1
O1 0.000 0.500 0.000 1
```

Most intense lines, 15 to 90 degrees two-theta, by angle:
2theta  Rel. int.
20.17  20
27.77  37
29.57  40
31.95  100
39.68  57
40.68  20
51.82  51
58.11  19


This entry pairs a crystal structure of TmAsPbO with its simulated powder X-ray diffraction pattern. Radiation: Cu Kα (λ = 1.5418 Å). Structure: the PBE geometry in OQMD.
Neutral-atom scattering factors, no anomalous dispersion.

Atomic structure:
```
data_TmAsPbO
_space_group_name_H-M_alt 'P m c 21'
_space_group_IT_number 26
_space_group_name_Hall 'P 2c -2'
_cell_length_a 5.076
_cell_length_b 6.538
_cell_length_c 6.290
_cell_angle_alpha 90.00
_cell_angle_beta 90.00
_cell_angle_gamma 90.00
loop_
_atom_site_label
_atom_site_fract_x
_atom_site_fract_y
_atom_site_fract_z
_atom_site_occupancy
Tm1 0.000 0.148 0.000 1
As1 0.500 0.286 0.892 1
Pb1 0.500 0.262 0.396 1
O1 0.000 0.128 0.333 1
```

Most intense lines, 15 to 90 degrees two-theta, by angle:
2theta  Rel. int.
26.36  100
27.28  41
28.38  49
33.52  35
35.37  45
43.74  32
45.25  35
54.28  31


This entry pairs a crystal structure of ZrAsPb2O6 with its simulated powder X-ray diffraction pattern. Radiation: Cu Kα (λ = 1.5418 Å). Structure: the PBE geometry in OQMD.
Neutral-atom scattering factors, no anomalous dispersion.

Atomic structure:
```
data_ZrAsPb2O6
_space_group_name_H-M_alt 'P -1'
_space_group_IT_number 2
_space_group_name_Hall '-P 1'
_cell_length_a 4.960
_cell_length_b 4.998
_cell_length_c 5.763
_cell_angle_alpha 98.61
_cell_angle_beta 98.11
_cell_angle_gamma 103.51
loop_
_atom_site_label
_atom_site_fract_x
_atom_site_fract_y
_atom_site_fract_z
_atom_site_occupancy
Zr1 0.000 0.000 0.000 1
As1 0.500 0.500 0.000 1
Pb1 0.260 0.738 0.495 1
O1 0.226 0.226 0.772 1
O2 0.262 0.737 0.001 1
O3 0.337 0.337 0.240 1
```

Most intense lines, 15 to 90 degrees two-theta, by angle:
2theta  Rel. int.
15.82  41
27.76  100
27.88  97
29.82  88
31.96  69
38.09  36
38.47  95
46.44  35


This entry pairs a crystal structure of Pr2ZnAs2PdO2 with its simulated powder X-ray diffraction pattern. Radiation: Cu Kα (λ = 1.5418 Å). Structure: the PBE geometry in OQMD.
Neutral-atom scattering factors, no anomalous dispersion.

Atomic structure:
```
data_Pr2ZnAs2PdO2
_space_group_name_H-M_alt 'P -4 m 2'
_space_group_IT_number 115
_space_group_name_Hall 'P -4 -2'
_cell_length_a 4.099
_cell_length_b 4.099
_cell_length_c 8.821
_cell_angle_alpha 90.00
_cell_angle_beta 90.00
_cell_angle_gamma 90.00
loop_
_atom_site_label
_atom_site_fract_x
_atom_site_fract_y
_atom_site_fract_z
_atom_site_occupancy
Pr1 0.000 0.500 0.135 1
Zn1 0.000 0.000 0.500 1
As1 0.000 0.500 0.675 1
Pd1 0.500 0.500 0.500 1
O1 0.000 0.000 0.000 1
O2 0.500 0.500 0.000 1
```

Most intense lines, 15 to 90 degrees two-theta, by angle:
2theta  Rel. int.
29.76  100
30.85  14
32.52  33
37.12  38
44.19  42
52.12  35
54.19  37
87.25  16


This entry pairs a crystal structure of SiAsPdO with its simulated powder X-ray diffraction pattern. Radiation: Cu Kα (λ = 1.5418 Å). Structure: the PBE geometry in OQMD.
Neutral-atom scattering factors, no anomalous dispersion.

Atomic structure:
```
data_SiAsPdO
_space_group_name_H-M_alt 'P m c 21'
_space_group_IT_number 26
_space_group_name_Hall 'P 2c -2'
_cell_length_a 3.737
_cell_length_b 8.117
_cell_length_c 4.669
_cell_angle_alpha 90.00
_cell_angle_beta 90.00
_cell_angle_gamma 90.00
loop_
_atom_site_label
_atom_site_fract_x
_atom_site_fract_y
_atom_site_fract_z
_atom_site_occupancy
Si1 0.000 0.123 0.000 1
As1 0.500 0.293 0.904 1
Pd1 0.500 0.403 0.408 1
O1 0.000 0.057 0.334 1
```

Most intense lines, 15 to 90 degrees two-theta, by angle:
2theta  Rel. int.
23.81  56
26.26  100
38.45  40
38.57  35
45.77  82
47.26  29
55.13  26
63.77  32


This entry pairs a crystal structure of YAsPdO with its simulated powder X-ray diffraction pattern. Radiation: Cu Kα (λ = 1.5418 Å). Structure: the PBE geometry in OQMD.
Neutral-atom scattering factors, no anomalous dispersion.

Atomic structure:
```
data_YAsPdO
_space_group_name_H-M_alt 'P 4/n m m'
_space_group_IT_number 129
_cell_length_a 4.115
_cell_length_b 4.115
_cell_length_c 7.966
_cell_angle_alpha 90.00
_cell_angle_beta 90.00
_cell_angle_gamma 90.00
loop_
_space_group_symop_operation_xyz
'x,y,z'
'-x,-y,-z'
'-y+1/2,x,z'
'y+1/2,-x,-z'
'-x+1/2,-y+1/2,z'
'x+1/2,y+1/2,-z'
'y,-x+1/2,z'
'-y,x+1/2,-z'
'x+1/2,-y,-z'
'-x+1/2,y,z'
'-y,-x,-z'
'y,x,z'
'-x,y+1/2,-z'
'x,-y+1/2,z'
'y+1/2,x+1/2,-z'
'-y+1/2,-x+1/2,z'
loop_
_atom_site_label
_atom_site_fract_x
_atom_site_fract_y
_atom_site_fract_z
_atom_site_occupancy
Y1 0.250 0.250 0.129 1
As1 0.250 0.250 0.677 1
Pd1 0.250 0.750 0.500 1
O1 0.250 0.750 0.000 1
```

Most intense lines, 15 to 90 degrees two-theta, by angle:
2theta  Rel. int.
31.26  100
32.77  55
38.31  77
44.01  70
54.97  39
55.95  43
64.00  22
77.11  18


This entry pairs a crystal structure of PmSiAsO with its simulated powder X-ray diffraction pattern. Radiation: Cu Kα (λ = 1.5418 Å). Structure: the PBE geometry in OQMD.
Neutral-atom scattering factors, no anomalous dispersion.

Atomic structure:
```
data_PmSiAsO
_space_group_name_H-M_alt 'P 4/n m m'
_space_group_IT_number 129
_cell_length_a 4.136
_cell_length_b 4.136
_cell_length_c 8.948
_cell_angle_alpha 90.00
_cell_angle_beta 90.00
_cell_angle_gamma 90.00
loop_
_space_group_symop_operation_xyz
'x,y,z'
'-x,-y,-z'
'-y+1/2,x,z'
'y+1/2,-x,-z'
'-x+1/2,-y+1/2,z'
'x+1/2,y+1/2,-z'
'y,-x+1/2,z'
'-y,x+1/2,-z'
'x+1/2,-y,-z'
'-x+1/2,y,z'
'-y,-x,-z'
'y,x,z'
'-x,y+1/2,-z'
'x,-y+1/2,z'
'y+1/2,x+1/2,-z'
'-y+1/2,-x+1/2,z'
loop_
_atom_site_label
_atom_site_fract_x
_atom_site_fract_y
_atom_site_fract_z
_atom_site_occupancy
Pm1 0.250 0.250 0.122 1
Si1 0.250 0.750 0.500 1
As1 0.250 0.250 0.673 1
O1 0.250 0.750 0.000 1
```

Most intense lines, 15 to 90 degrees two-theta, by angle:
2theta  Rel. int.
29.41  100
30.56  32
32.20  12
37.16  17
43.77  27
51.43  22
53.61  37
86.11  10


This entry pairs a crystal structure of PmSmAsO with its simulated powder X-ray diffraction pattern. Radiation: Cu Kα (λ = 1.5418 Å). Structure: the PBE geometry in OQMD.
Neutral-atom scattering factors, no anomalous dispersion.

Atomic structure:
```
data_PmSmAsO
_space_group_name_H-M_alt 'P m c 21'
_space_group_IT_number 26
_space_group_name_Hall 'P 2c -2'
_cell_length_a 4.246
_cell_length_b 7.927
_cell_length_c 5.989
_cell_angle_alpha 90.00
_cell_angle_beta 90.00
_cell_angle_gamma 90.00
loop_
_atom_site_label
_atom_site_fract_x
_atom_site_fract_y
_atom_site_fract_z
_atom_site_occupancy
Pm1 0.000 0.114 0.000 1
Sm1 0.500 0.296 0.435 1
As1 0.500 0.342 0.929 1
O1 0.000 0.174 0.379 1
```

Most intense lines, 15 to 90 degrees two-theta, by angle:
2theta  Rel. int.
23.77  100
28.11  79
29.84  84
37.19  40
38.50  45
40.19  49
42.58  39
50.85  48


This entry pairs a crystal structure of PmYAsO with its simulated powder X-ray diffraction pattern. Radiation: Cu Kα (λ = 1.5418 Å). Structure: the PBE geometry in OQMD.
Neutral-atom scattering factors, no anomalous dispersion.

Atomic structure:
```
data_PmYAsO
_space_group_name_H-M_alt 'P m c 21'
_space_group_IT_number 26
_space_group_name_Hall 'P 2c -2'
_cell_length_a 4.268
_cell_length_b 7.634
_cell_length_c 6.072
_cell_angle_alpha 90.00
_cell_angle_beta 90.00
_cell_angle_gamma 90.00
loop_
_atom_site_label
_atom_site_fract_x
_atom_site_fract_y
_atom_site_fract_z
_atom_site_occupancy
Pm1 0.000 0.205 0.000 1
Y1 0.500 0.392 0.580 1
As1 0.000 0.173 0.491 1
O1 0.500 0.334 0.940 1
```

Most intense lines, 15 to 90 degrees two-theta, by angle:
2theta  Rel. int.
23.30  52
23.89  100
28.10  70
29.42  100
31.44  62
41.31  56
43.60  48
51.52  48


This entry pairs a crystal structure of PrAs2O with its simulated powder X-ray diffraction pattern. Radiation: Cu Kα (λ = 1.5418 Å). Structure: the PBE geometry in OQMD.
Neutral-atom scattering factors, no anomalous dispersion.

Atomic structure:
```
data_PrAs2O
_space_group_name_H-M_alt 'P m c 21'
_space_group_IT_number 26
_space_group_name_Hall 'P 2c -2'
_cell_length_a 4.405
_cell_length_b 6.334
_cell_length_c 6.495
_cell_angle_alpha 90.00
_cell_angle_beta 90.00
_cell_angle_gamma 90.00
loop_
_atom_site_label
_atom_site_fract_x
_atom_site_fract_y
_atom_site_fract_z
_atom_site_occupancy
Pr1 0.000 0.242 0.000 1
As1 0.000 0.272 0.470 1
As2 0.500 0.136 0.611 1
O1 0.500 0.275 0.864 1
```

Most intense lines, 15 to 90 degrees two-theta, by angle:
2theta  Rel. int.
20.16  30
27.47  48
28.21  100
34.31  50
34.89  35
39.76  31
40.98  31
44.97  43